Starting from a cell relaxed with GGA-PBE, the powder diffractogram of CaRh2O6 was calculated for λ = 1.5418 Å (Cu Kα).

Principal peaks in the range 5° ≤ 2θ ≤ 70°, sorted by position:
| h k l | 2θ/deg | intensity |
| --- | --- | --- |
| 0 0 1 | 17.95 | 70 |
| 1 0 0 | 19.53 | 27 |
| 1 0 1 | 26.65 | 100 |
| 1 1 0 | 34.17 | 48 |
| 2 -1 1 | 38.86 | 49 |
| 2 0 1 | 43.85 | 22 |
| 2 -1 2 | 50.75 | 61 |
| 3 -1 1 | 56.74 | 22 |
| 1 0 3 | 59.71 | 8 |
| 3 0 0 | 61.18 | 20 |
| 3 0 1 | 64.32 | 12 |
| 1 1 3 | 67.09 | 12 |

Structural model:
Unit cell a=5.2479 b=5.2479 c=4.9416 alpha=90.00 beta=90.00 gamma=120.00
Space group P-31m (No. 162)
Symmetry-distinct sites (fractional):
Ca1 0.0000 0.0000 0.0000 [1 per cell]
Rh1 0.3333 0.6667 0.5000 [2 per cell]
O1 0.0000 0.3705 0.7155 [6 per cell]